# Tl2Ag4Cl9
Calculated powder X-ray diffraction pattern, CuKα. Input: a structure optimized by DFT (GGA-PBE).
Neutral-atom scattering factors, no anomalous dispersion.

Cell and atoms:
```
Tl2Ag4Cl9
1.0
6.916 0.000 0.000
3.453 5.994 0.000
0.052 0.042 19.168
Tl Ag Cl
4 8 18
direct
0.000 0.002 0.359
0.000 0.998 0.641
0.002 0.998 0.850
0.998 0.002 0.150
0.331 0.336 0.183
0.334 0.332 0.981
0.334 0.333 0.490
0.335 0.332 0.685
0.665 0.668 0.315
0.666 0.667 0.510
0.666 0.668 0.019
0.669 0.664 0.817
0.012 0.301 0.761
0.021 0.323 0.080
0.022 0.618 0.583
0.304 0.686 0.761
0.312 0.991 0.239
0.320 0.658 0.081
0.345 0.976 0.919
0.362 0.017 0.583
0.380 0.639 0.416
0.620 0.361 0.584
0.638 0.983 0.417
0.655 0.024 0.081
0.680 0.342 0.919
0.688 0.009 0.761
0.696 0.314 0.239
0.978 0.382 0.417
0.979 0.677 0.920
0.988 0.699 0.239
```

Most intense lines, 10° ≤ 2θ ≤ 90°, sorted by position:
Position (°2θ)	d [Å]	intensity
17.46	5.080	34
23.78	3.742	100
25.75	3.459	81
29.36	3.042	19
35.30	2.542	32
38.33	2.348	39
38.42	2.343	25
44.21	2.049	30
45.41	1.997	47
49.95	1.826	20

# Dy5Sc5Si20Ir8
Calculated powder X-ray diffraction pattern, CuKα. Input: a structure optimized by DFT (GGA-PBE).
Neutral-atom scattering factors, no anomalous dispersion.

Cell and atoms:
```
Dy5Sc5Si20Ir8
1.0
4.175 0.000 0.000
0.000 8.852 8.860
0.000 -8.852 8.860
Dy Sc Si Ir
5 5 20 8
direct
0.000 0.000 0.000
0.000 0.500 0.730
0.000 0.730 0.500
0.500 0.115 0.614
0.500 0.614 0.115
0.000 0.230 0.230
0.000 0.289 0.944
0.000 0.441 0.441
0.000 0.789 0.789
0.000 0.944 0.289
0.000 0.116 0.455
0.000 0.123 0.771
0.000 0.272 0.608
0.000 0.455 0.116
0.000 0.608 0.272
0.000 0.623 0.959
0.000 0.771 0.123
0.000 0.959 0.623
0.500 0.049 0.182
0.500 0.182 0.049
0.500 0.281 0.414
0.500 0.315 0.782
0.500 0.414 0.281
0.500 0.448 0.917
0.500 0.548 0.548
0.500 0.682 0.682
0.500 0.782 0.315
0.500 0.815 0.949
0.500 0.917 0.448
0.500 0.949 0.815
0.500 0.097 0.366
0.500 0.136 0.862
0.500 0.361 0.595
0.500 0.366 0.097
0.500 0.595 0.361
0.500 0.635 0.869
0.500 0.862 0.136
0.500 0.869 0.635
```

Most intense lines, 10° ≤ 2θ ≤ 90°, sorted by position:
Position (°2θ)	d [Å]	intensity
20.05	4.428	43
21.28	4.175	28
28.51	3.131	24
29.40	3.038	33
35.85	2.505	100
36.58	2.456	30
40.75	2.214	27
43.34	2.088	28
51.05	1.789	21
71.00	1.328	24

# SrPb2N2
Calculated powder X-ray diffraction pattern, CuKα. Input: a structure optimized by DFT (GGA-PBE).
Neutral-atom scattering factors, no anomalous dispersion.

Cell and atoms:
```
SrPb2N2
1.0
3.616 0.000 0.000
-1.808 3.131 0.000
0.000 0.000 9.520
Sr Pb N
1 2 2
direct
0.000 0.000 0.000
0.333 0.667 0.306
0.667 0.333 0.694
0.333 0.667 0.829
0.667 0.333 0.171
```

Most intense lines, 10° ≤ 2θ ≤ 90°, sorted by position:
Position (°2θ)	d [Å]	intensity
18.64	4.760	25
28.12	3.173	29
30.04	2.975	100
34.28	2.616	75
40.47	2.229	13
48.02	1.895	33
50.48	1.808	27
58.78	1.571	23
59.87	1.545	15
82.05	1.175	13

# B6IN6
Calculated powder X-ray diffraction pattern, CuKα. Input: a structure optimized by DFT (GGA-PBE).
Neutral-atom scattering factors, no anomalous dispersion.

Cell and atoms:
```
B6IN6
1.0
4.717 0.000 0.000
0.000 4.717 0.000
0.000 0.000 4.717
B I N
6 1 6
direct
0.000 0.250 0.500
0.000 0.750 0.500
0.250 0.500 0.000
0.500 0.000 0.250
0.500 0.000 0.750
0.750 0.500 0.000
0.000 0.000 0.000
0.000 0.500 0.259
0.000 0.500 0.741
0.259 0.000 0.500
0.500 0.259 0.000
0.500 0.741 0.000
0.741 0.000 0.500
```

Most intense lines, 10° ≤ 2θ ≤ 90°, sorted by position:
Position (°2θ)	d [Å]	intensity
18.81	4.717	100
26.73	3.335	33
32.89	2.723	36
38.16	2.358	30
42.87	2.109	48
47.20	1.926	61
58.73	1.572	23
65.65	1.422	13
75.40	1.261	28
84.74	1.144	14